Structure and computed powder X-ray diffraction pattern of Ac2VHgO6 (a GGA+U-relaxed structure; Cu Kα).
Kinematic intensities with the Lorentz-polarization factor, no thermal factor.

Most intense lines, 2θ from 10° to 80°, in order of falling intensity:
(1 1 1), d 3.189, 2θ 27.98, intensity 100
(2 0 0), d 2.899, 2θ 30.84, intensity 39
(3 1 1), d 1.724, 2θ 53.11, intensity 35
(2 0 2), d 1.909, 2θ 47.64, intensity 26
(2 2 0), d 2.050, 2θ 44.18, intensity 20
(2 2 2), d 1.594, 2θ 57.83, intensity 11
(1 1 3), d 1.563, 2θ 59.09, intensity 11
(0 0 2), d 2.537, 2θ 35.39, intensity 10
(3 1 3), d 1.243, 2θ 76.66, intensity 10
(0 0 1), d 5.073, 2θ 17.48, intensity 10

```
Ac2VHgO6
1.0
5.7985 0.0000 0.0000
0.0000 5.7985 0.0000
0.0000 0.0000 5.0730
Ac V Hg O
2 1 1 6
Direct
0.0000 0.5000 0.0000
0.5000 0.0000 0.0000
0.0000 0.0000 0.6144
0.5000 0.5000 0.5211
0.0000 0.0000 0.2672
0.2149 0.2149 0.7342
0.2149 0.7851 0.7342
0.5000 0.5000 0.0731
0.7851 0.2149 0.7342
0.7851 0.7851 0.7342
```